The following is a computed X-ray powder pattern of Ce4SnGe3Rh12. It was derived from a DFT-relaxed cell (PBE, Alexandria), using Cu Kα (λ = 1.5418 Å).
Kinematic intensities with the Lorentz-polarization factor, no thermal factor.

Structure:
Unit cell a=9.331 b=9.331 c=9.331 alpha=90.00 beta=90.00 gamma=90.00
Space group Im-3m (No. 229)
Inequivalent atoms, fractional coordinates:
Ce 0.250 0.250 0.250 [8 per cell]
Sn 0.000 0.000 0.000 [2 per cell]
Ge 0.000 0.000 0.500 [6 per cell]
Rh 0.000 0.000 0.260 [12 per cell]
Rh 0.000 0.250 0.500 [12 per cell]

Peak list (6 most intense, 2θ from 5° to 70°, by angle)
| Position (°2θ) | intensity |
| --- | --- |
| 27.03 | 26 |
| 33.26 | 93 |
| 38.60 | 100 |
| 55.73 | 67 |
| 66.47 | 36 |
| 69.84 | 22 |